Entry 1:
This entry pairs a crystal structure of Ti6PdPt with its theoretical X-ray diffraction stick pattern. Radiation: Cu Kα. Structure: a cell relaxed with GGA-PBE.
Lines closer than 0.1° are merged.

Atomic structure:
```
data_Ti6PdPt
_chemical_formula_sum 'Ti6 Pd1 Pt1'
_cell_length_a 5.0472
_cell_length_b 5.0472
_cell_length_c 5.0472
_cell_angle_alpha 90.00
_cell_angle_beta 90.00
_cell_angle_gamma 90.00
_symmetry_space_group_name_H-M 'P 1'
_symmetry_Int_Tables_number 1
loop_
_symmetry_equiv_pos_as_xyz
'x,y,z'
loop_
_atom_site_label
_atom_site_type_symbol
_atom_site_fract_x
_atom_site_fract_y
_atom_site_fract_z
_atom_site_occupancy
Ti1 Ti 0.0000 0.2483 0.5000 1
Ti2 Ti 0.0000 0.7517 0.5000 1
Ti3 Ti 0.2483 0.5000 0.0000 1
Ti4 Ti 0.5000 0.0000 0.2483 1
Ti5 Ti 0.5000 0.0000 0.7517 1
Ti6 Ti 0.7517 0.5000 0.0000 1
Pd1 Pd 0.5000 0.5000 0.5000 1
Pt1 Pt 0.0000 0.0000 0.0000 1
```

Main lines, by angle (2θ from 10° to 80°):
- 5.047 Å, 2θ = 17.57°, I = 11
- 3.569 Å, 2θ = 24.95°, I = 60
- 2.524 Å, 2θ = 35.57°, I = 46
- 2.257 Å, 2θ = 39.94°, I = 36
- 2.060 Å, 2θ = 43.94°, I = 100
- 1.784 Å, 2θ = 51.19°, I = 9
- 1.596 Å, 2θ = 57.77°, I = 13
- 1.400 Å, 2θ = 66.83°, I = 7
- 1.349 Å, 2θ = 69.71°, I = 49
- 1.262 Å, 2θ = 75.32°, I = 10

Entry 2:
This entry pairs a crystal structure of K2Ce4Bi3O2 with its theoretical X-ray diffraction stick pattern. Radiation: Cu Kα. Structure: a cell relaxed with GGA-PBE.
Lines closer than 0.1° are merged.

Atomic structure:
```
data_K2Ce4Bi3O2
_chemical_formula_sum 'K2 Ce4 Bi3 O2'
_cell_length_a 14.4644
_cell_length_b 14.4644
_cell_length_c 14.4644
_cell_angle_alpha 160.59
_cell_angle_beta 160.59
_cell_angle_gamma 27.59
_symmetry_space_group_name_H-M 'P 1'
_symmetry_Int_Tables_number 1
loop_
_symmetry_equiv_pos_as_xyz
'x,y,z'
loop_
_atom_site_label
_atom_site_type_symbol
_atom_site_fract_x
_atom_site_fract_y
_atom_site_fract_z
_atom_site_occupancy
K1 K 0.2032 0.2032 0.0000 1
K2 K 0.7968 0.7968 0.0000 1
Ce1 Ce 0.0820 0.5820 0.5000 1
Ce2 Ce 0.4180 0.9180 0.5000 1
Ce3 Ce 0.5820 0.0820 0.5000 1
Ce4 Ce 0.9180 0.4180 0.5000 1
Bi1 Bi 0.3380 0.3380 0.0000 1
Bi2 Bi 0.5000 0.5000 0.0000 1
Bi3 Bi 0.6620 0.6620 0.0000 1
O1 O 0.0848 0.0848 0.0000 1
O2 O 0.9152 0.9152 0.0000 1
```

Main lines, by angle (2θ from 10° to 80°):
- 7.024 Å, 2θ = 12.60°, I = 15
- 4.806 Å, 2θ = 18.46°, I = 38
- 3.099 Å, 2θ = 28.81°, I = 40
- 2.777 Å, 2θ = 32.23°, I = 100
- 2.439 Å, 2θ = 36.85°, I = 44
- 2.341 Å, 2θ = 38.45°, I = 14
- 1.917 Å, 2θ = 47.44°, I = 17
- 1.725 Å, 2θ = 53.11°, I = 15
- 1.689 Å, 2θ = 54.32°, I = 21
- 1.465 Å, 2θ = 63.50°, I = 30

Entry 3:
This entry pairs a crystal structure of K2ZrReO6 with its theoretical X-ray diffraction stick pattern. Radiation: Cu Kα. Structure: a cell relaxed with GGA-PBE.
Lines closer than 0.1° are merged.

Atomic structure:
```
data_K2ZrReO6
_chemical_formula_sum 'K2 Zr1 Re1 O6'
_cell_length_a 5.7609
_cell_length_b 5.7609
_cell_length_c 4.1025
_cell_angle_alpha 90.00
_cell_angle_beta 90.00
_cell_angle_gamma 90.00
_symmetry_space_group_name_H-M 'P 1'
_symmetry_Int_Tables_number 1
loop_
_symmetry_equiv_pos_as_xyz
'x,y,z'
loop_
_atom_site_label
_atom_site_type_symbol
_atom_site_fract_x
_atom_site_fract_y
_atom_site_fract_z
_atom_site_occupancy
K1 K 0.0000 0.5000 0.0000 1
K2 K 0.5000 0.0000 0.0000 1
Zr1 Zr 0.0000 0.0000 0.5100 1
Re1 Re 0.5000 0.5000 0.4763 1
O1 O 0.0000 0.0000 0.0080 1
O2 O 0.2651 0.2651 0.5055 1
O3 O 0.2651 0.7349 0.5055 1
O4 O 0.5000 0.5000 0.0185 1
O5 O 0.7349 0.2651 0.5055 1
O6 O 0.7349 0.7349 0.5055 1
```

Main lines, by angle (2θ from 10° to 80°):
- 5.761 Å, 2θ = 15.38°, I = 22
- 4.102 Å, 2θ = 21.66°, I = 30
- 4.074 Å, 2θ = 21.82°, I = 60
- 2.891 Å, 2θ = 30.94°, I = 100
- 2.880 Å, 2θ = 31.05°, I = 50
- 2.037 Å, 2θ = 44.48°, I = 35
- 1.823 Å, 2θ = 50.03°, I = 26
- 1.671 Å, 2θ = 54.95°, I = 19
- 1.665 Å, 2θ = 55.16°, I = 38
- 1.445 Å, 2θ = 64.47°, I = 20